Computed powder diffraction line list
Compound: Cs3TmPu2O9
Radiation: Cu Kα
Structure: DFT lattice parameters and positions (GGA-PBE)
Neutral-atom scattering factors, no anomalous dispersion.

Peak list (6 most intense, 2θ = 10–90°, low angle first)
hkl 1 1 0, 2θ 28.88, 3.091 Å, intensity 100; hkl 2 0 2, 2θ 41.30, 2.186 Å, intensity 27; hkl 3 0 0, 2θ 51.18, 1.785 Å, intensity 42; hkl 2 2 0, 2θ 59.83, 1.546 Å, intensity 18; hkl 3 1 2, 2θ 67.78, 1.383 Å, intensity 19; hkl 2 3 2, 2θ 82.55, 1.169 Å, intensity 17

Atomic structure:
Cell: 6.1804 6.1804 7.5786 Å, 90.00 90.00 120.00°
Element x y z (fractional)
Cs: 0.0000 0.0000 0.0000
Cs: 0.3333 0.6667 0.6629
Cs: 0.6667 0.3333 0.3371
Tm: 0.0000 0.0000 0.5000
Pu: 0.3333 0.6667 0.1660
Pu: 0.6667 0.3333 0.8340
O: 0.0000 0.5000 0.0000
O: 0.1758 0.3517 0.3217
O: 0.1758 0.8242 0.3217
O: 0.3517 0.1758 0.6783
O: 0.5000 0.0000 0.0000
O: 0.5000 0.5000 0.0000
O: 0.6483 0.8242 0.3217
O: 0.8242 0.1758 0.6783
O: 0.8242 0.6483 0.6783